1.
Starting from a GGA-PBE-relaxed structure, the powder diffractogram of LaU5S6 was computed for Cu Kα.

abc: 6.732 11.822 6.810
angles: 90.00 109.91 90.00
Space group C2/m (No. 12)
Symmetry-distinct sites (fractional):
1 La 0.000 0.000 0.000 (multiplicity 2)
2 U 0.000 0.162 0.500 (multiplicity 4)
3 U 0.000 0.332 0.000 (multiplicity 4)
4 U 0.000 0.500 0.500 (multiplicity 2)
5 S 0.239 0.500 0.251 (multiplicity 4)
6 S 0.241 0.328 0.742 (multiplicity 8)

Principal peaks in the range 2θ = 10–90°, by intensity:
32.3 deg, d = 2.769 Å, I = 100.0
27.8 deg, d = 3.208 Å, I = 76.5
46.1 deg, d = 1.968 Å, I = 37.2
28.2 deg, d = 3.165 Å, I = 24.8
46.6 deg, d = 1.950 Å, I = 24.1
54.9 deg, d = 1.673 Å, I = 16.9
57.4 deg, d = 1.606 Å, I = 13.0
54.7 deg, d = 1.678 Å, I = 12.8
46.7 deg, d = 1.944 Å, I = 12.0
76.6 deg, d = 1.244 Å, I = 11.6

2.
Starting from a GGA-PBE-relaxed structure, the powder diffractogram of Ba8Li2Rh was computed for Cu Kα.

abc: 26.691 4.788 8.955
angles: 90.00 91.22 90.00
Space group C2/m (No. 12)
Symmetry-distinct sites (fractional):
1 Ba 0.003 0.000 0.227 (multiplicity 4)
2 Ba 0.105 0.500 0.513 (multiplicity 4)
3 Ba 0.113 0.500 0.002 (multiplicity 4)
4 Ba 0.231 0.000 0.726 (multiplicity 4)
5 Li 0.166 0.000 0.280 (multiplicity 4)
6 Rh 0.000 0.500 0.000 (multiplicity 2)

Principal peaks in the range 2θ = 10–90°, by intensity:
25.0 deg, d = 3.564 Å, I = 100.0
27.5 deg, d = 3.239 Å, I = 84.8
27.4 deg, d = 3.252 Å, I = 68.4
23.7 deg, d = 3.754 Å, I = 62.3
26.7 deg, d = 3.334 Å, I = 61.6
24.2 deg, d = 3.681 Å, I = 58.0
41.4 deg, d = 2.180 Å, I = 50.8
40.8 deg, d = 2.214 Å, I = 43.8
48.3 deg, d = 1.885 Å, I = 36.6
37.6 deg, d = 2.394 Å, I = 35.5

3.
Starting from a GGA-PBE-relaxed structure, the powder diffractogram of Rb2BiTe2 was computed for Cu Kα.

abc: 4.641 13.492 14.282
angles: 90.00 90.00 90.00
Space group Cmc2_1 (No. 36)
Symmetry-distinct sites (fractional):
1 Rb 0.000 0.067 0.000 (multiplicity 4)
2 Rb 0.000 0.317 0.205 (multiplicity 4)
3 Bi 0.000 0.370 0.868 (multiplicity 4)
4 Te 0.000 0.032 0.253 (multiplicity 4)
5 Te 0.000 0.220 0.491 (multiplicity 4)

Principal peaks in the range 2θ = 10–90°, by intensity:
27.6 deg, d = 3.228 Å, I = 100.0
14.5 deg, d = 6.100 Å, I = 62.4
32.3 deg, d = 2.770 Å, I = 58.8
28.3 deg, d = 3.150 Å, I = 55.3
22.9 deg, d = 3.890 Å, I = 41.7
30.4 deg, d = 2.943 Å, I = 36.0
12.4 deg, d = 7.141 Å, I = 35.8
38.8 deg, d = 2.320 Å, I = 29.3
27.2 deg, d = 3.283 Å, I = 25.5
53.1 deg, d = 1.726 Å, I = 25.2

4.
Starting from a GGA-PBE-relaxed structure, the powder diffractogram of PrSc was computed for Cu Kα.

abc: 3.531 5.645 6.011
angles: 90.00 90.00 90.00
Space group Pmmn (No. 59, origin choice 2)
Symmetry-distinct sites (fractional):
1 Pr 0.250 0.250 0.087 (multiplicity 2)
2 Sc 0.250 0.750 0.420 (multiplicity 2)

Principal peaks in the range 2θ = 10–90°, by intensity:
33.4 deg, d = 2.680 Å, I = 100.0
33.8 deg, d = 2.653 Å, I = 50.5
14.7 deg, d = 6.011 Å, I = 44.5
31.7 deg, d = 2.823 Å, I = 39.1
29.3 deg, d = 3.045 Å, I = 25.0
29.8 deg, d = 2.994 Å, I = 24.3
62.6 deg, d = 1.483 Å, I = 21.0
57.6 deg, d = 1.601 Å, I = 20.3
52.5 deg, d = 1.743 Å, I = 18.2
43.7 deg, d = 2.070 Å, I = 16.4

5.
Starting from a GGA-PBE-relaxed structure, the powder diffractogram of Ba3PbS4 was computed for Cu Kα.

abc: 8.961 12.685 4.495
angles: 90.00 90.00 90.00
Space group Cmm2 (No. 35)
Symmetry-distinct sites (fractional):
1 Ba 0.000 0.000 0.000 (multiplicity 2)
2 Ba 0.250 0.250 0.501 (multiplicity 4)
3 Pb 0.000 0.500 0.002 (multiplicity 2)
4 S 0.000 0.254 0.001 (multiplicity 4)
5 S 0.242 0.500 0.500 (multiplicity 4)

Principal peaks in the range 2θ = 10–90°, by intensity:
28.1 deg, d = 3.173 Å, I = 100.0
24.3 deg, d = 3.663 Å, I = 74.3
40.2 deg, d = 2.244 Å, I = 62.5
47.5 deg, d = 1.913 Å, I = 39.6
65.8 deg, d = 1.418 Å, I = 28.7
49.7 deg, d = 1.834 Å, I = 13.4
49.8 deg, d = 1.830 Å, I = 13.2
73.0 deg, d = 1.296 Å, I = 12.9
73.1 deg, d = 1.294 Å, I = 12.8
58.2 deg, d = 1.586 Å, I = 12.5

6.
Starting from a GGA-PBE-relaxed structure, the powder diffractogram of CuAg2Se was computed for Cu Kα.

abc: 9.070 2.837 6.635
angles: 90.00 114.51 90.00
Space group Cm (No. 8)
Symmetry-distinct sites (fractional):
1 Cu 0.000 0.000 0.000 (multiplicity 2)
2 Ag 0.080 0.500 0.400 (multiplicity 2)
3 Ag 0.277 0.500 0.156 (multiplicity 2)
4 Se 0.396 0.000 0.664 (multiplicity 2)

Principal peaks in the range 2θ = 10–90°, by intensity:
38.5 deg, d = 2.338 Å, I = 100.0
46.9 deg, d = 1.938 Å, I = 52.3
39.9 deg, d = 2.260 Å, I = 47.3
28.5 deg, d = 3.133 Å, I = 46.6
14.7 deg, d = 6.037 Å, I = 34.8
43.9 deg, d = 2.063 Å, I = 31.5
40.9 deg, d = 2.205 Å, I = 29.7
30.9 deg, d = 2.893 Å, I = 25.7
33.4 deg, d = 2.683 Å, I = 22.0
53.1 deg, d = 1.725 Å, I = 19.4